1.
# Na2Li2ZnTeO6
Computed PXRD pattern, copper Kα. Input: a crystal structure in OQMD, relaxed with GGA-PBE.
Neutral-atom scattering factors, no anomalous dispersion.

abc: 5.3464 9.3763 5.2973
angles: 90.00 110.20 90.00
Space group C2 (No. 5)
One atom of each set of equivalent atoms:
Na (0.0000, 0.0000, 0.0000) x2
Na (0.0000, 0.1438, 0.5000) x2
Li (0.0000, 0.4751, 0.5000) x2
Li (0.0000, 0.8249, 0.5000) x2
Zn (0.0000, 0.6664, 0.0000) x2
Te (0.0000, 0.3323, 0.0000) x2
O (0.2082, 0.4823, 0.2387) x4
O (0.2220, 0.3264, 0.7753) x4
O (0.2481, 0.1904, 0.2256) x4

Most intense lines, 10 to 80 degrees two-theta, in order of falling intensity:
2θ 41.39, d 2.181, rel. 100; 2θ 17.84, d 4.972, rel. 99; 2θ 20.07, d 4.424, rel. 38; 2θ 33.79, d 2.653, rel. 35; 2θ 22.47, d 3.957, rel. 28; 2θ 35.32, d 2.541, rel. 23

=====

2.
# Zr3CuSe5
Computed PXRD pattern, copper Kα. Input: a crystal structure in OQMD, relaxed with GGA-PBE.
Neutral-atom scattering factors, no anomalous dispersion.

abc: 6.2696 6.2696 7.2645
angles: 90.00 90.00 120.00
Space group P6/mmm (No. 191)
One atom of each set of equivalent atoms:
Zr (0.0000, 0.5000, 0.0000) x3
Cu (0.0000, 0.0000, 0.5000) x1
Se (0.0000, 0.0000, 0.0000) x1
Se (0.3333, 0.6667, 0.2724) x4

Most intense lines, 10 to 80 degrees two-theta, in order of falling intensity:
2θ 41.53, d 2.175, rel. 100; 2θ 12.18, d 7.265, rel. 64; 2θ 28.47, d 3.135, rel. 59; 2θ 35.29, d 2.543, rel. 46; 2θ 29.59, d 3.019, rel. 33; 2θ 58.93, d 1.567, rel. 33

=====

3.
# Dy2Pd
Computed PXRD pattern, copper Kα. Input: a crystal structure in OQMD, relaxed with GGA-PBE.
Neutral-atom scattering factors, no anomalous dispersion.

abc: 7.4577 7.4577 4.6539
angles: 90.00 90.00 120.00
Space group P-62m (No. 189)
One atom of each set of equivalent atoms:
Dy (0.0000, 0.2623, 0.0000) x3
Dy (0.0000, 0.5925, 0.5000) x3
Pd (0.0000, 0.0000, 0.5000) x1
Pd (0.3333, 0.6667, 0.0000) x2

Most intense lines, 10 to 80 degrees two-theta, in order of falling intensity:
2θ 30.72, d 2.910, rel. 100; 2θ 33.78, d 2.653, rel. 74; 2θ 36.82, d 2.441, rel. 39; 2θ 38.70, d 2.327, rel. 32; 2θ 41.97, d 2.153, rel. 28; 2θ 66.19, d 1.412, rel. 26

=====

4.
# NdLuPt
Computed PXRD pattern, copper Kα. Input: a crystal structure in OQMD, relaxed with GGA-PBE.
Neutral-atom scattering factors, no anomalous dispersion.

abc: 6.7497 6.7497 6.7497
angles: 90.00 90.00 90.00
Space group F-43m (No. 216)
One atom of each set of equivalent atoms:
Nd (0.0000, 0.0000, 0.0000) x4
Lu (0.2500, 0.2500, 0.2500) x4
Pt (0.0000, 0.0000, 0.5000) x4

Most intense lines, 10 to 80 degrees two-theta, in order of falling intensity:
2θ 37.69, d 2.386, rel. 100; 2θ 68.05, d 1.378, rel. 36; 2θ 22.82, d 3.897, rel. 30; 2θ 54.37, d 1.687, rel. 18; 2θ 44.52, d 2.035, rel. 16; 2θ 26.41, d 3.375, rel. 13